Calculated powder diffraction line list
Compound: HfP2O6F2
Radiation: λ = 1.5418 Å (Cu Kα)
Structure: a crystal structure in OQMD, relaxed with GGA-PBE
Neutral-atom scattering factors, no anomalous dispersion.

The 10 most intense peaks (10° ≤ 2θ ≤ 80°), in order of rising 2θ:
| index | 2theta | I (rel.) |
| --- | --- | --- |
| 0 0 1 | 16.79 | 19 |
| 1 0 0 | 18.86 | 37 |
| 0 1 1 | 25.35 | 100 |
| 1 1 0 | 32.97 | 33 |
| 1 1 1 | 37.22 | 11 |
| 0 1 2 | 39.12 | 24 |
| 0 2 1 | 42.05 | 22 |
| 1 1 2 | 48.05 | 11 |
| 0 2 2 | 52.07 | 17 |
| 1 2 1 | 54.44 | 23 |

Structural model:
a b c (Å): 5.4329 5.4329 5.2810
angles (deg): 90.00 90.00 120.00
Space group P-3 (No. 147)
Symmetry-distinct sites (fractional):
1 Hf 0.0000 0.0000 0.0000
2 P 0.3333 0.6667 0.2949
3 O 0.1760 0.8196 0.2207
4 F 0.3333 0.6667 0.5907